The following is a theoretical powder X-ray diffraction pattern of Tm2Sn2Rh3. It was derived from DFT lattice parameters and positions (PBE), using λ = 1.5418 Å (Cu Kα).
Kinematic intensities with the Lorentz-polarization factor, no thermal factor.

Cell and atoms:
```
data_Tm2Sn2Rh3
_chemical_formula_sum 'Tm2 Sn2 Rh3'
_space_group_name_H-M_alt 'P 1'
_space_group_IT_number 1
_cell_length_a 4.6527
_cell_length_b 4.6527
_cell_length_c 8.0501
_cell_angle_alpha 106.74
_cell_angle_beta 106.74
_cell_angle_gamma 60.09
loop_
_space_group_symop_operation_xyz
'x,y,z'
loop_
_atom_site_label
_atom_site_fract_x
_atom_site_fract_y
_atom_site_fract_z
Tm1 0.1233 0.1233 0.3692
Tm2 0.8767 0.8767 0.6308
Sn1 0.3822 0.3822 0.1465
Sn2 0.6178 0.6178 0.8535
Rh1 0.0000 0.0000 0.0000
Rh2 0.2574 0.2574 0.7727
Rh3 0.7426 0.7426 0.2273
```

Top 12 peaks for 2θ from 15° to 90°, sorted by position:
| 2theta | d [Å] | I/Imax |
| --- | --- | --- |
| 22.40 | 3.969 | 7 |
| 23.43 | 3.797 | 4 |
| 27.10 | 3.290 | 11 |
| 35.46 | 2.532 | 7 |
| 38.70 | 2.326 | 100 |
| 45.73 | 1.984 | 3 |
| 47.89 | 1.900 | 3 |
| 55.89 | 1.645 | 17 |
| 70.03 | 1.344 | 23 |
| 70.11 | 1.342 | 10 |
| 74.64 | 1.272 | 3 |
| 83.05 | 1.163 | 8 |